(1)
The following is a computed powder diffraction line list of NaH4CNO2. It was derived from a structure optimized by DFT (PBE), using Cu Kα (λ = 1.5418 Å).

Top 10 peaks for 2θ = 5–70°, by angle:
two_theta  intensity
14.66  43
15.52  31
19.59  46
21.02  61
27.87  30
28.69  82
29.08  37
32.90  100
37.00  76
43.70  40

Atomic structure:
Lattice parameters (Å, degrees): 6.153 10.891 6.828 90.00 100.95 90.00
Fractional coordinates of all 36 atoms:
Na  0.059  0.150  0.435
Na  0.059  0.350  0.935
Na  0.941  0.650  0.065
Na  0.941  0.850  0.565
H  0.182  0.057  0.819
H  0.182  0.443  0.319
H  0.229  0.705  0.413
H  0.229  0.795  0.913
H  0.354  0.512  0.216
H  0.354  0.988  0.716
H  0.373  0.739  0.777
H  0.373  0.761  0.277
H  0.627  0.239  0.723
H  0.627  0.261  0.223
H  0.646  0.012  0.284
H  0.646  0.488  0.784
H  0.771  0.205  0.087
H  0.771  0.295  0.587
H  0.818  0.557  0.681
H  0.818  0.943  0.181
C  0.257  0.157  0.122
C  0.257  0.343  0.622
C  0.743  0.657  0.378
C  0.743  0.843  0.878
N  0.385  0.089  0.216
N  0.385  0.411  0.716
N  0.615  0.589  0.284
N  0.615  0.911  0.784
O  0.198  0.018  0.693
O  0.198  0.482  0.193
O  0.224  0.734  0.807
O  0.224  0.766  0.307
O  0.776  0.234  0.693
O  0.776  0.266  0.193
O  0.802  0.518  0.807
O  0.802  0.982  0.307


(2)
The following is a computed powder diffraction line list of NaH4C3N3O4. It was derived from a structure optimized by DFT (PBE), using Cu Kα (λ = 1.5418 Å).

Top 10 peaks for 2θ = 5–70°, by angle:
two_theta  intensity
9.50  27
13.78  24
21.43  12
25.24  11
25.81  100
27.92  15
28.56  12
31.18  15
31.49  12
35.30  14

Atomic structure:
Lattice parameters (Å, degrees): 3.882 9.137 9.358 91.52 95.52 91.21
Fractional coordinates of all 30 atoms:
Na  0.157  0.380  0.361
Na  0.843  0.620  0.639
H  0.083  0.883  0.486
H  0.366  0.048  0.108
H  0.422  0.650  0.877
H  0.439  0.488  0.813
H  0.561  0.512  0.187
H  0.578  0.350  0.123
H  0.634  0.952  0.892
H  0.917  0.117  0.514
C  0.207  0.991  0.305
C  0.258  0.728  0.344
C  0.399  0.820  0.126
C  0.601  0.180  0.874
C  0.742  0.272  0.656
C  0.793  0.009  0.695
N  0.174  0.870  0.386
N  0.323  0.962  0.175
N  0.372  0.706  0.214
N  0.628  0.294  0.786
N  0.677  0.038  0.825
N  0.826  0.130  0.614
O  0.133  0.116  0.349
O  0.224  0.629  0.433
O  0.380  0.589  0.788
O  0.495  0.807  0.002
O  0.505  0.193  0.998
O  0.620  0.411  0.212
O  0.776  0.371  0.567
O  0.867  0.884  0.651


(3)
The following is a computed powder diffraction line list of NaH2C2N3O. It was derived from a structure optimized by DFT (PBE), using Cu Kα (λ = 1.5418 Å).

Top 10 peaks for 2θ = 5–70°, by angle:
two_theta  intensity
9.91  100
17.21  41
27.03  100
28.85  50
29.75  53
32.22  57
36.30  41
38.16  46
38.87  42
45.84  41

Atomic structure:
Lattice parameters (Å, degrees): 10.303 10.303 6.598 90.00 90.00 120.00
Fractional coordinates of all 54 atoms:
Na  0.000  0.593  0.000
Na  0.000  0.593  0.500
Na  0.407  0.407  0.000
Na  0.407  0.407  0.500
Na  0.593  0.000  0.000
Na  0.593  0.000  0.500
H  0.170  0.813  0.250
H  0.187  0.357  0.250
H  0.218  0.523  0.250
H  0.305  0.782  0.250
H  0.357  0.187  0.750
H  0.477  0.695  0.250
H  0.523  0.218  0.750
H  0.643  0.830  0.250
H  0.695  0.477  0.750
H  0.782  0.305  0.750
H  0.813  0.170  0.750
H  0.830  0.643  0.750
C  0.062  0.914  0.750
C  0.086  0.148  0.750
C  0.123  0.386  0.750
C  0.148  0.086  0.250
C  0.264  0.877  0.750
C  0.386  0.123  0.250
C  0.614  0.736  0.750
C  0.736  0.614  0.250
C  0.852  0.938  0.750
C  0.877  0.264  0.250
C  0.914  0.062  0.250
C  0.938  0.852  0.250
N  0.065  0.154  0.250
N  0.081  0.475  0.750
N  0.089  0.935  0.250
N  0.119  0.820  0.750
N  0.154  0.065  0.750
N  0.180  0.299  0.750
N  0.299  0.180  0.250
N  0.394  0.919  0.750
N  0.475  0.081  0.250
N  0.525  0.606  0.750
N  0.606  0.525  0.250
N  0.701  0.881  0.750
N  0.820  0.119  0.250
N  0.846  0.911  0.250
N  0.881  0.701  0.250
N  0.911  0.846  0.750
N  0.919  0.394  0.250
N  0.935  0.089  0.750
O  0.196  0.730  0.250
O  0.270  0.465  0.250
O  0.465  0.270  0.750
O  0.535  0.804  0.250
O  0.730  0.196  0.750
O  0.804  0.535  0.750


(4)
The following is a computed powder diffraction line list of NaH4CNO2. It was derived from a structure optimized by DFT (PBE), using Cu Kα (λ = 1.5418 Å).

Top 10 peaks for 2θ = 5–70°, by angle:
two_theta  intensity
15.02  84
28.42  34
29.43  49
29.66  30
31.67  34
33.95  100
36.54  32
37.54  51
38.34  34
44.84  37

Atomic structure:
Lattice parameters (Å, degrees): 6.037 10.620 6.643 90.00 102.33 90.00
Fractional coordinates of all 36 atoms:
Na  0.002  0.172  0.435
Na  0.002  0.328  0.935
Na  0.998  0.672  0.065
Na  0.998  0.828  0.565
H  0.177  0.049  0.818
H  0.177  0.451  0.318
H  0.284  0.617  0.781
H  0.284  0.883  0.281
H  0.355  0.006  0.695
H  0.355  0.494  0.195
H  0.396  0.745  0.861
H  0.396  0.755  0.361
H  0.604  0.245  0.639
H  0.604  0.255  0.139
H  0.645  0.506  0.805
H  0.645  0.994  0.305
H  0.716  0.117  0.719
H  0.716  0.383  0.219
H  0.823  0.549  0.682
H  0.823  0.951  0.182
C  0.323  0.065  0.201
C  0.323  0.435  0.701
C  0.677  0.565  0.299
C  0.677  0.935  0.799
N  0.233  0.156  0.118
N  0.233  0.344  0.618
N  0.767  0.656  0.382
N  0.767  0.844  0.882
O  0.191  0.020  0.682
O  0.191  0.480  0.182
O  0.249  0.703  0.823
O  0.249  0.797  0.323
O  0.751  0.203  0.677
O  0.751  0.297  0.177
O  0.809  0.520  0.818
O  0.809  0.980  0.318